(1)
Starting from a cell relaxed with PBE, the X-ray diffraction stick pattern of LiGa2Ni9 was simulated for Cu Kα (λ = 1.5418 Å).

Principal peaks in the range 2θ = 10–90°, by intensity:
2theta	I/Imax
44.02	100.0
50.99	31.8
75.71	17.9
51.88	14.9
75.00	9.2
26.27	3.4
30.14	2.6
16.77	2.3
39.45	1.9
36.48	1.6

Atomic structure:
Cell: 3.5820 3.5820 10.5752 Å, 90.00 90.00 90.00°
Positions (direct):
Li 0.0000 0.0000 0.0000
Ga 0.0000 0.0000 0.3304
Ga 0.0000 0.0000 0.6696
Ni 0.0000 0.5000 0.1630
Ni 0.0000 0.5000 0.5000
Ni 0.0000 0.5000 0.8370
Ni 0.5000 0.0000 0.1630
Ni 0.5000 0.0000 0.5000
Ni 0.5000 0.0000 0.8370
Ni 0.5000 0.5000 0.0000
Ni 0.5000 0.5000 0.3314
Ni 0.5000 0.5000 0.6686

***

(2)
Starting from a cell relaxed with PBE, the X-ray diffraction stick pattern of LiGaNi6 was simulated for Cu Kα (λ = 1.5418 Å).

Principal peaks in the range 2θ = 10–90°, by intensity:
2theta	I/Imax
44.06	100.0
44.20	99.4
51.04	63.3
75.98	35.5
52.16	29.7
23.41	24.3
17.48	10.1
75.27	9.2
74.87	9.2
34.38	7.5

Atomic structure:
Cell: 6.1674 5.6667 4.3214 Å, 74.91 62.52 42.57°
Positions (direct):
Li 0.0000 0.0000 0.0000
Ga 0.5000 0.5000 0.5000
Ni 0.1282 0.1282 0.3718
Ni 0.2519 0.2519 0.7481
Ni 0.3718 0.3718 0.1282
Ni 0.6282 0.6282 0.8718
Ni 0.7481 0.7481 0.2519
Ni 0.8718 0.8718 0.6282

***

(3)
Starting from a cell relaxed with PBE, the X-ray diffraction stick pattern of Li3Ga4Ni2 was simulated for Cu Kα (λ = 1.5418 Å).

Principal peaks in the range 2θ = 10–90°, by intensity:
2theta	I/Imax
42.55	100.0
43.40	96.3
27.16	57.1
22.56	31.4
62.41	30.6
79.06	29.7
11.23	22.1
49.46	21.9
79.65	14.9
77.28	14.4

Atomic structure:
Cell: 4.1697 4.1697 7.8825 Å, 90.00 90.00 120.00°
Positions (direct):
Li 0.0000 0.0000 0.0000
Li 0.3333 0.6667 0.4527
Li 0.6667 0.3333 0.5473
Ga 0.0000 0.0000 0.3228
Ga 0.0000 0.0000 0.6772
Ga 0.3333 0.6667 0.1200
Ga 0.6667 0.3333 0.8800
Ni 0.3333 0.6667 0.7896
Ni 0.6667 0.3333 0.2104

***

(4)
Starting from a cell relaxed with PBE, the X-ray diffraction stick pattern of Li2Ga6Ni was simulated for Cu Kα (λ = 1.5418 Å).

Principal peaks in the range 2θ = 10–90°, by intensity:
2theta	I/Imax
48.06	100.0
39.65	72.1
37.40	68.4
29.09	57.2
14.95	49.9
21.58	46.5
43.98	46.0
34.70	26.5
26.36	26.3
45.95	23.5

Atomic structure:
Cell: 6.1395 4.1178 6.6716 Å, 90.00 117.36 90.00°
Positions (direct):
Li 0.2126 0.0000 0.4247
Li 0.7874 0.0000 0.5753
Ga 0.1495 0.5000 0.7143
Ga 0.2496 0.0000 0.0013
Ga 0.4342 0.5000 0.2860
Ga 0.5658 0.5000 0.7140
Ga 0.7504 0.0000 0.9987
Ga 0.8505 0.5000 0.2857
Ni 0.0000 0.5000 0.0000

***

(5)
Starting from a cell relaxed with PBE, the X-ray diffraction stick pattern of Li2Ga4Ni5 was simulated for Cu Kα (λ = 1.5418 Å).

Principal peaks in the range 2θ = 10–90°, by intensity:
2theta	I/Imax
21.09	100.0
20.49	97.4
48.00	79.1
42.91	73.0
40.14	58.8
48.47	48.8
47.09	44.0
48.36	37.3
36.25	19.3
75.71	18.6

Atomic structure:
Cell: 8.6863 7.9462 5.0255 Å, 80.67 64.51 34.81°
Positions (direct):
Li 0.1003 0.1003 0.8997
Li 0.8997 0.8997 0.1003
Ga 0.2099 0.5311 0.4689
Ga 0.4689 0.7901 0.2099
Ga 0.5311 0.2099 0.7901
Ga 0.7901 0.4689 0.5311
Ni 0.0000 0.0000 0.5000
Ni 0.2500 0.2500 0.2500
Ni 0.5000 0.5000 0.0000
Ni 0.5000 0.5000 0.5000
Ni 0.7500 0.7500 0.7500

***

(6)
Starting from a cell relaxed with PBE, the X-ray diffraction stick pattern of Li6GaNi2 was simulated for Cu Kα (λ = 1.5418 Å).

Principal peaks in the range 2θ = 10–90°, by intensity:
2theta	I/Imax
10.02	100.0
17.03	51.5
22.37	35.5
41.43	21.0
39.02	18.6
40.51	17.8
43.95	13.9
44.53	8.6
35.59	8.6
51.66	8.2

Atomic structure:
Cell: 5.6543 5.6543 9.1968 Å, 105.79 105.79 28.48°
Positions (direct):
Li 0.0339 0.0339 0.3348
Li 0.3026 0.3026 0.3928
Li 0.3301 0.3301 0.1123
Li 0.6699 0.6699 0.8877
Li 0.6974 0.6974 0.6072
Li 0.9661 0.9661 0.6652
Ga 0.0000 0.0000 0.0000
Ni 0.3501 0.3501 0.8215
Ni 0.6499 0.6499 0.1785

***

(7)
Starting from a cell relaxed with PBE, the X-ray diffraction stick pattern of LiGa3Ni5 was simulated for Cu Kα (λ = 1.5418 Å).

Principal peaks in the range 2θ = 10–90°, by intensity:
2theta	I/Imax
44.30	100.0
44.15	80.5
64.33	23.7
14.44	23.2
81.43	22.5
58.13	21.6
35.68	16.8
81.54	13.9
25.14	7.9
75.58	6.5

Atomic structure:
Cell: 7.0836 7.0836 5.0321 Å, 90.00 90.00 120.00°
Positions (direct):
Li 0.0000 0.0000 0.0000
Li 0.0000 0.0000 0.5000
Ga 0.0000 0.3492 0.2500
Ga 0.0000 0.6508 0.7500
Ga 0.3492 0.0000 0.2500
Ga 0.3492 0.3492 0.7500
Ga 0.6508 0.0000 0.7500
Ga 0.6508 0.6508 0.2500
Ni 0.0000 0.3202 0.7500
Ni 0.0000 0.6798 0.2500
Ni 0.3202 0.0000 0.7500
Ni 0.3202 0.3202 0.2500
Ni 0.3333 0.6667 0.0000
Ni 0.3333 0.6667 0.5000
Ni 0.6667 0.3333 0.0000
Ni 0.6667 0.3333 0.5000
Ni 0.6798 0.0000 0.2500
Ni 0.6798 0.6798 0.7500

***

(8)
Starting from a cell relaxed with PBE, the X-ray diffraction stick pattern of LiTb2Ga3Ni4 was simulated for Cu Kα (λ = 1.5418 Å).

Principal peaks in the range 2θ = 10–90°, by intensity:
2theta	I/Imax
36.96	100.0
33.66	80.2
47.26	47.6
47.56	47.2
59.53	30.7
33.13	30.1
69.30	29.4
81.45	19.3
69.53	14.5
15.93	13.8

Atomic structure:
Cell: 3.8240 3.8240 11.1261 Å, 90.00 90.00 90.00°
Positions (direct):
Li 0.0000 0.0000 0.0000
Tb 0.0000 0.5000 0.7559
Tb 0.5000 0.0000 0.2441
Ga 0.0000 0.5000 0.3700
Ga 0.5000 0.0000 0.6300
Ga 0.5000 0.5000 0.0000
Ni 0.0000 0.0000 0.5000
Ni 0.0000 0.5000 0.1501
Ni 0.5000 0.0000 0.8499
Ni 0.5000 0.5000 0.5000

***

(9)
Starting from a cell relaxed with PBE, the X-ray diffraction stick pattern of Li2GaO3 was simulated for Cu Kα (λ = 1.5418 Å).

Principal peaks in the range 2θ = 10–90°, by intensity:
2theta	I/Imax
20.69	100.0
18.68	61.4
33.88	48.6
35.50	48.2
57.20	35.7
31.55	32.2
40.41	28.3
49.68	16.6
42.09	12.9
52.89	12.3

Atomic structure:
Cell: 5.5285 5.5285 5.5285 Å, 148.82 61.54 128.38°
Positions (direct):
Li 0.1659 0.0000 0.1659
Li 0.8341 0.0000 0.8341
Ga 0.4906 0.9906 0.5000
O 0.2558 0.2558 0.0000
O 0.5594 0.2180 0.3414
O 0.8766 0.2180 0.6586

***

(10)
Starting from a cell relaxed with PBE, the X-ray diffraction stick pattern of LiPa2GaO8 was simulated for Cu Kα (λ = 1.5418 Å).

Principal peaks in the range 2θ = 10–90°, by intensity:
2theta	I/Imax
23.73	100.0
12.26	80.8
32.11	52.3
35.43	50.2
43.09	36.4
48.56	28.7
56.97	20.7
37.63	20.1
61.54	18.8
42.87	17.8

Atomic structure:
Cell: 5.0667 5.0667 7.2184 Å, 90.00 90.00 120.00°
Positions (direct):
Li 0.0000 0.0000 0.0000
Pa 0.3333 0.6667 0.3372
Pa 0.6667 0.3333 0.6628
Ga 0.0000 0.0000 0.5000
O 0.1757 0.3514 0.6566
O 0.1757 0.8243 0.6566
O 0.3333 0.6667 0.0793
O 0.3514 0.1757 0.3434
O 0.6486 0.8243 0.6566
O 0.6667 0.3333 0.9207
O 0.8243 0.1757 0.3434
O 0.8243 0.6486 0.3434

***

(11)
Starting from a cell relaxed with PBE, the X-ray diffraction stick pattern of LiPm2GaO5 was simulated for Cu Kα (λ = 1.5418 Å).

Principal peaks in the range 2θ = 10–90°, by intensity:
2theta	I/Imax
31.05	100.0
33.90	84.3
15.40	83.5
43.75	59.8
18.85	38.6
45.90	34.6
30.01	31.6
57.08	29.5
59.46	24.8
66.39	19.1

Atomic structure:
Cell: 6.6575 6.6575 5.7555 Å, 90.00 90.00 90.00°
Positions (direct):
Li 0.0000 0.0000 0.0000
Li 0.5000 0.5000 0.0000
Pm 0.1777 0.3223 0.5000
Pm 0.3223 0.8223 0.5000
Pm 0.6777 0.1777 0.5000
Pm 0.8223 0.6777 0.5000
Ga 0.0000 0.5000 0.0000
Ga 0.5000 0.0000 0.0000
O 0.0000 0.0000 0.5000
O 0.1369 0.6369 0.2390
O 0.1369 0.6369 0.7610
O 0.3631 0.1369 0.2390
O 0.3631 0.1369 0.7610
O 0.5000 0.5000 0.5000
O 0.6369 0.8631 0.2390
O 0.6369 0.8631 0.7610
O 0.8631 0.3631 0.2390
O 0.8631 0.3631 0.7610